Record 1
Ho8Tm3Th: simulated powder diffractogram (Cu Kα X-rays), based on DFT lattice parameters and positions (PBE).
Intensities are scaled so that the largest is 1000.

Top 8 peaks for 5 to 70 degrees two-theta, by angle:
| hkl | two_theta | I (rel.) |
| --- | --- | --- |
| 2 0 0 | 31.11 | 1000 |
| 1 0 -3 | 35.97 | 170 |
| 2 2 2 | 36.13 | 336 |
| 1 2 5 | 51.90 | 241 |
| 3 0 3 | 52.02 | 120 |
| 0 0 6 | 61.65 | 144 |
| 4 2 2 | 61.88 | 213 |
| 4 0 0 | 64.85 | 93 |

Atomic structure:
```
data_Ho8Tm3Th
_cell_length_a 6.0971
_cell_length_b 7.0272
_cell_length_c 9.3243
_cell_angle_alpha 79.21
_cell_angle_beta 77.62
_cell_angle_gamma 73.28
_symmetry_space_group_name_H-M 'P -1'
_symmetry_Int_Tables_number 2
_symmetry_space_group_name_Hall '-P 1'
loop_
_atom_site_label
_atom_site_fract_x
_atom_site_fract_y
_atom_site_fract_z
Ho1 0.0003 0.1682 0.3328
Ho2 0.0005 0.3346 0.6680
Ho3 0.4947 0.1701 0.8331
Ho4 0.4990 0.6645 0.8338
Tm1 0.0000 0.0000 0.0000
Tm2 0.5000 0.0000 0.5000
Tm3 0.5000 0.5000 0.5000
Th1 0.0000 0.5000 0.0000
```

---

Record 2
Pm4SmHo2Mg: simulated powder diffractogram (Cu Kα X-rays), based on DFT lattice parameters and positions (PBE).
Intensities are scaled so that the largest is 1000.

Top 8 peaks for 5 to 70 degrees two-theta, by angle:
| hkl | two_theta | I (rel.) |
| --- | --- | --- |
| 1 1 2 | 30.72 | 1000 |
| 2 0 0 | 35.53 | 340 |
| 0 0 4 | 35.81 | 165 |
| 2 2 0 | 51.13 | 121 |
| 2 0 4 | 51.33 | 237 |
| 3 1 2 | 60.84 | 286 |
| 1 1 6 | 61.21 | 138 |
| 2 2 4 | 63.98 | 122 |

Atomic structure:
```
data_Pm4SmHo2Mg
_cell_length_a 5.0532
_cell_length_b 5.0532
_cell_length_c 10.0315
_cell_angle_alpha 90.00
_cell_angle_beta 90.00
_cell_angle_gamma 90.00
_symmetry_space_group_name_H-M 'P 4/m m m'
_symmetry_Int_Tables_number 123
_symmetry_space_group_name_Hall '-P 4 2'
loop_
_atom_site_label
_atom_site_fract_x
_atom_site_fract_y
_atom_site_fract_z
Pm1 0.0000 0.5000 0.2446
Sm1 0.0000 0.0000 0.5000
Ho1 0.0000 0.0000 0.0000
Ho2 0.5000 0.5000 0.5000
Mg1 0.5000 0.5000 0.0000
```

---

Record 3
HoHf2Zn6: simulated powder diffractogram (Cu Kα X-rays), based on DFT lattice parameters and positions (PBE).
Intensities are scaled so that the largest is 1000.

Top 8 peaks for 5 to 70 degrees two-theta, by angle:
| hkl | two_theta | I (rel.) |
| --- | --- | --- |
| 1 1 0 | 23.40 | 265 |
| 1 1 1 | 36.76 | 1000 |
| 3 0 0 | 41.13 | 611 |
| 2 2 0 | 47.86 | 41 |
| 2 2 1 | 56.33 | 288 |
| 0 0 2 | 57.74 | 74 |
| 1 1 2 | 63.16 | 38 |
| 4 1 0 | 64.90 | 35 |

Atomic structure:
```
data_HoHf2Zn6
_cell_length_a 7.6022
_cell_length_b 7.6022
_cell_length_c 3.1934
_cell_angle_alpha 90.00
_cell_angle_beta 90.00
_cell_angle_gamma 120.00
_symmetry_space_group_name_H-M 'P 6/m m m'
_symmetry_Int_Tables_number 191
_symmetry_space_group_name_Hall '-P 6 2'
loop_
_atom_site_label
_atom_site_fract_x
_atom_site_fract_y
_atom_site_fract_z
Ho1 0.0000 0.0000 0.0000
Hf1 0.3333 0.6667 0.0000
Zn1 0.0000 0.3382 0.5000
```

---

Record 4
In2Ga7: simulated powder diffractogram (Cu Kα X-rays), based on DFT lattice parameters and positions (PBE).
Intensities are scaled so that the largest is 1000.

Top 8 peaks for 5 to 70 degrees two-theta, by angle:
| hkl | two_theta | I (rel.) |
| --- | --- | --- |
| 1 0 10 | 29.28 | 173 |
| 1 1 0 | 29.90 | 468 |
| 0 1 11 | 31.27 | 300 |
| 0 2 1 | 34.75 | 409 |
| 1 1 9 | 36.93 | 1000 |
| 2 0 8 | 39.72 | 326 |
| 0 3 9 | 57.78 | 266 |
| 2 2 0 | 62.13 | 320 |

Atomic structure:
```
data_In2Ga7
_cell_length_a 5.9763
_cell_length_b 5.9763
_cell_length_c 37.7605
_cell_angle_alpha 90.00
_cell_angle_beta 90.00
_cell_angle_gamma 120.00
_symmetry_space_group_name_H-M 'R -3 m'
_symmetry_Int_Tables_number 166
_symmetry_space_group_name_Hall '-R 3 2"'
loop_
_atom_site_label
_atom_site_fract_x
_atom_site_fract_y
_atom_site_fract_z
In1 0.0000 0.0000 0.0484
In2 0.0000 0.0000 0.1429
Ga1 0.0000 0.0000 0.2775
Ga2 0.0000 0.0000 0.3918
Ga3 0.0000 0.0000 0.5000
Ga4 0.0000 0.5000 0.0000
Ga5 0.0149 0.5075 0.8860
```

---

Record 5
Y3CdNi: simulated powder diffractogram (Cu Kα X-rays), based on DFT lattice parameters and positions (PBE).
Intensities are scaled so that the largest is 1000.

Top 8 peaks for 5 to 70 degrees two-theta, by angle:
| hkl | two_theta | I (rel.) |
| --- | --- | --- |
| 1 1 0 | 29.41 | 300 |
| 1 -1 2 | 30.03 | 434 |
| -1 2 1 | 31.33 | 409 |
| -2 1 1 | 32.75 | 614 |
| 1 0 -3 | 33.29 | 1000 |
| 0 2 -2 | 33.54 | 548 |
| 1 1 1 | 35.00 | 476 |
| 1 -1 3 | 39.94 | 315 |

Atomic structure:
```
data_Y3CdNi
_cell_length_a 5.5092
_cell_length_b 6.4801
_cell_length_c 8.4417
_cell_angle_alpha 98.39
_cell_angle_beta 102.40
_cell_angle_gamma 114.43
_symmetry_space_group_name_H-M 'P -1'
_symmetry_Int_Tables_number 2
_symmetry_space_group_name_Hall '-P 1'
loop_
_atom_site_label
_atom_site_fract_x
_atom_site_fract_y
_atom_site_fract_z
Y1 0.0453 0.1783 0.3106
Y2 0.2926 0.8202 0.1071
Y3 0.3240 0.4620 0.7662
Cd1 0.3469 0.7485 0.4755
Ni1 0.2210 0.1784 0.9920
```

---

Record 6
LiBi2O4: simulated powder diffractogram (Cu Kα X-rays), based on DFT lattice parameters and positions (PBE).
Intensities are scaled so that the largest is 1000.

Top 8 peaks for 5 to 70 degrees two-theta, by angle:
| hkl | two_theta | I (rel.) |
| --- | --- | --- |
| 2 0 0 | 21.68 | 399 |
| 2 1 1 | 28.37 | 1000 |
| 0 0 2 | 29.19 | 209 |
| 2 0 2 | 36.65 | 192 |
| 4 1 1 | 48.11 | 419 |
| 2 1 3 | 51.25 | 256 |
| 3 3 2 | 56.30 | 159 |
| 4 1 3 | 65.56 | 158 |

Atomic structure:
```
data_LiBi2O4
_cell_length_a 8.1995
_cell_length_b 8.1995
_cell_length_c 6.1196
_cell_angle_alpha 90.00
_cell_angle_beta 90.00
_cell_angle_gamma 90.00
_symmetry_space_group_name_H-M 'P 4/n c c'
_symmetry_Int_Tables_number 130
loop_
_symmetry_equiv_pos_as_xyz
'x,y,z'
'-x,-y,-z'
'-y+1/2,x,z'
'y+1/2,-x,-z'
'-x+1/2,-y+1/2,z'
'x+1/2,y+1/2,-z'
'y,-x+1/2,z'
'-y,x+1/2,-z'
'x+1/2,-y,-z+1/2'
'-x+1/2,y,z+1/2'
'-y,-x,-z+1/2'
'y,x,z+1/2'
'-x,y+1/2,-z+1/2'
'x,-y+1/2,z+1/2'
'y+1/2,x+1/2,-z+1/2'
'-y+1/2,-x+1/2,z+1/2'
loop_
_atom_site_label
_atom_site_fract_x
_atom_site_fract_y
_atom_site_fract_z
Li1 0.2500 0.2500 0.0536
Bi1 0.0743 0.5743 0.2500
O1 0.0211 0.1650 0.5894
```

---

Record 7
Cd2SnPd5Au2: simulated powder diffractogram (Cu Kα X-rays), based on DFT lattice parameters and positions (PBE).
Intensities are scaled so that the largest is 1000.

Top 8 peaks for 5 to 70 degrees two-theta, by angle:
| hkl | two_theta | I (rel.) |
| --- | --- | --- |
| 3 1 0 | 27.33 | 156 |
| 2 2 1 | 35.72 | 248 |
| 3 3 0 | 36.96 | 477 |
| 3 1 1 | 37.86 | 1000 |
| 4 0 1 | 43.74 | 396 |
| 0 0 2 | 52.79 | 170 |
| 6 0 0 | 53.27 | 215 |
| 3 3 2 | 66.19 | 168 |

Atomic structure:
```
data_Cd2SnPd5Au2
_cell_length_a 10.3176
_cell_length_b 10.3176
_cell_length_c 3.4684
_cell_angle_alpha 90.00
_cell_angle_beta 90.00
_cell_angle_gamma 90.00
_symmetry_space_group_name_H-M 'P 4/m b m'
_symmetry_Int_Tables_number 127
_symmetry_space_group_name_Hall '-P 4 2ab'
loop_
_atom_site_label
_atom_site_fract_x
_atom_site_fract_y
_atom_site_fract_z
Cd1 0.1576 0.3424 0.0000
Sn1 0.0000 0.0000 0.0000
Pd1 0.0000 0.5000 0.5000
Pd2 0.0067 0.7986 0.5000
Au1 0.1509 0.6509 0.0000
```

---

Record 8
NaDyEr: simulated powder diffractogram (Cu Kα X-rays), based on DFT lattice parameters and positions (PBE).
Intensities are scaled so that the largest is 1000.

Top 8 peaks for 5 to 70 degrees two-theta, by angle:
| hkl | two_theta | I (rel.) |
| --- | --- | --- |
| 0 0 2 | 10.93 | 667 |
| 1 0 1 | 26.26 | 180 |
| 1 0 3 | 30.63 | 1000 |
| 0 0 6 | 33.21 | 183 |
| 1 1 0 | 36.62 | 321 |
| 1 0 5 | 38.01 | 222 |
| 1 1 6 | 50.26 | 228 |
| 2 1 3 | 62.24 | 264 |

Atomic structure:
```
data_NaDyEr
_cell_length_a 3.4706
_cell_length_b 3.4706
_cell_length_c 16.1872
_cell_angle_alpha 90.00
_cell_angle_beta 90.00
_cell_angle_gamma 90.00
_symmetry_space_group_name_H-M 'I 4 m m'
_symmetry_Int_Tables_number 107
_symmetry_space_group_name_Hall 'I 4 -2'
loop_
_atom_site_label
_atom_site_fract_x
_atom_site_fract_y
_atom_site_fract_z
Na1 0.0000 0.0000 0.0000
Dy1 0.0000 0.0000 0.3228
Er1 0.0000 0.0000 0.6759
```

---

Which formula does entry 5 have? Y3CdNi